# Co7Te4Br6O12
Calculated powder diffractogram, CuKα. Input: a structure optimized by DFT (PBE+U).
Peak positions follow from Bragg's law for the DFT cell and can differ from measured ones.

Atomic structure:
Cell: 20.985 8.669 14.858 Å, 90.00 124.24 90.00°
Space group C2/c (No. 15)
One atom of each set of equivalent atoms:
Co 0.000 0.000 0.000
Co 0.164 0.102 0.161
Co 0.211 0.313 0.878
Co 0.212 0.316 0.381
Te 0.119 0.006 0.401
Te 0.177 0.499 0.141
Br 0.051 0.239 0.147
Br 0.091 0.185 0.676
Br 0.118 0.491 0.891
O 0.096 0.031 0.007
O 0.184 0.178 0.470
O 0.198 0.142 0.959
O 0.213 0.296 0.145
O 0.224 0.496 0.300
O 0.233 0.110 0.326

Principal peaks in the range 2θ = 10–90°, by angle:
hkl 2 0 0, 10.20°, rel. 62.5
hkl 4 0 0, 20.48°, rel. 34.7
hkl 4 2 -2, 26.84°, rel. 98.2
hkl 5 1 -4, 27.73°, rel. 38.0
hkl 0 0 4, 29.10°, rel. 100.0
hkl 2 2 2, 30.20°, rel. 32.2
hkl 4 2 -4, 32.02°, rel. 63.2
hkl 1 3 2, 35.94°, rel. 42.8

=====

# Mn3OF5
Calculated powder diffractogram, CuKα. Input: a structure optimized by DFT (PBE+U).
Peak positions follow from Bragg's law for the DFT cell and can differ from measured ones.

Atomic structure:
Cell: 9.877 4.835 4.849 Å, 90.00 90.00 90.00°
Space group Pmn2_1 (No. 31)
One atom of each set of equivalent atoms:
Mn 0.000 0.222 0.000
Mn 0.158 0.755 0.464
O 0.000 0.940 0.276
F 0.000 0.525 0.692
F 0.165 0.045 0.788
F 0.171 0.432 0.171

Principal peaks in the range 2θ = 10–90°, by angle:
hkl 0 1 1, 26.03°, rel. 100.0
hkl 3 1 0, 32.90°, rel. 54.3
hkl 3 1 1, 37.91°, rel. 23.4
hkl 3 2 1, 50.44°, rel. 64.5
hkl 0 2 2, 53.53°, rel. 18.9
hkl 6 0 0, 55.85°, rel. 11.4
hkl 6 1 1, 62.62°, rel. 13.0
hkl 3 0 3, 64.19°, rel. 11.8